For Li2CdIn5Sn, a cell relaxed with GGA-PBE gives the calculated PXRD pattern in this record (Cu Kα (λ = 1.5418 Å)).
Neutral-atom scattering factors, no anomalous dispersion.

Structure:
Lattice parameters (Å, degrees): 7.0390 7.0390 8.8179 90.00 90.00 90.00
Fractional coordinates of all 18 atoms:
Li  0.1307  0.3693  0.0000
Li  0.3693  0.8693  0.0000
Li  0.6307  0.1307  0.0000
Li  0.8693  0.6307  0.0000
Cd  0.0000  0.5000  0.5000
Cd  0.5000  0.0000  0.5000
In  0.0000  0.0000  0.0000
In  0.1939  0.6939  0.2504
In  0.1939  0.6939  0.7496
In  0.3061  0.1939  0.2504
In  0.3061  0.1939  0.7496
In  0.5000  0.5000  0.0000
In  0.6939  0.8061  0.2504
In  0.6939  0.8061  0.7496
In  0.8061  0.3061  0.2504
In  0.8061  0.3061  0.7496
Sn  0.0000  0.0000  0.5000
Sn  0.5000  0.5000  0.5000

The 8 most intense peaks (10 to 90 degrees two-theta), most intense first:
d [Å]  I_rel  (hkl)
2.751  100  2 0 2
2.489  29  2 2 0
2.562  28  2 1 2
3.148  22  2 1 0
2.204  18  0 0 4
1.650  16  2 2 4
1.592  14  4 1 2
1.356  11  2 0 6